This entry pairs a crystal structure of Rb2SiAs2 with its simulated powder diffraction line list. Radiation: Cu Kα X-rays. Structure: a DFT-relaxed cell (GGA-PBE, Alexandria).
Neutral-atom scattering factors, no anomalous dispersion.

Main lines, most intense first (10° ≤ 2θ ≤ 90°):
| 2θ/deg | I_rel |
| --- | --- |
| 28.5 | 100 |
| 33.9 | 63 |
| 27.5 | 62 |
| 37.9 | 53 |
| 25.5 | 49 |
| 31.5 | 46 |
| 49.3 | 31 |
| 55.9 | 23 |
| 55.4 | 20 |
| 36.9 | 20 |

Lattice parameters (Å, degrees): 7.3885 13.9822 6.4831 90.00 90.00 90.00
Space group Ibam (No. 72)
Inequivalent atoms, fractional coordinates:
Rb1 0.1661 0.1438 0.0000 [8 per cell]
Si1 0.0000 0.5000 0.2500 [4 per cell]
As1 0.1584 0.4033 0.0000 [8 per cell]